[1]
Calculated powder diffraction line list of Co3Ni9P4 for Cu Kα (weighted mean of Kα1 and Kα2), from a cell relaxed with GGA-PBE.
Intensities are scaled so that the largest is 100.

Principal peaks in the range 2θ from 10° to 90°, most intense first:
2theta, d_spacing, intensity
42.00, 2.151, 100
43.83, 2.066, 83
46.91, 1.937, 74
46.99, 1.934, 62
42.09, 2.147, 56
36.60, 2.455, 35
53.01, 1.727, 35
45.54, 1.992, 27
45.64, 1.988, 26
50.83, 1.796, 21

Structure:
```
Co3Ni9P4
1.0
4.373 0.000 0.000
2.178 6.283 0.000
2.176 0.005 6.302
Co Ni P
3 9 4
Direct
0.000 0.000 0.000
0.217 0.935 0.631
0.681 0.780 0.849
0.281 0.579 0.867
0.347 0.636 0.212
0.380 0.020 0.205
0.412 0.301 0.420
0.521 0.155 0.782
0.694 0.573 0.483
0.820 0.918 0.426
0.939 0.359 0.764
0.967 0.364 0.148
0.121 0.636 0.578
0.552 0.301 0.054
0.827 0.731 0.148
0.926 0.205 0.481
```

[2]
Calculated powder diffraction line list of CsNaS for Cu Kα (weighted mean of Kα1 and Kα2), from a cell relaxed with GGA-PBE.
Intensities are scaled so that the largest is 100.

Principal peaks in the range 2θ from 10° to 90°, most intense first:
2theta, d_spacing, intensity
29.00, 3.079, 100
26.02, 3.425, 61
21.47, 4.140, 53
47.79, 1.903, 48
37.13, 2.422, 43
28.36, 3.147, 39
34.52, 2.598, 25
43.29, 2.090, 18
11.09, 7.976, 15
53.52, 1.712, 14

Structure:
```
CsNaS
1.0
4.843 0.000 0.000
0.000 4.843 0.000
0.000 0.000 7.976
Cs Na S
2 2 2
Direct
0.250 0.250 0.152
0.750 0.750 0.848
0.250 0.750 0.500
0.750 0.250 0.500
0.250 0.250 0.693
0.750 0.750 0.307
```

[3]
Calculated powder diffraction line list of Na3BiO3 for Cu Kα (weighted mean of Kα1 and Kα2), from a cell relaxed with GGA-PBE.
Intensities are scaled so that the largest is 100.

Principal peaks in the range 2θ from 10° to 90°, most intense first:
2theta, d_spacing, intensity
22.27, 3.992, 100
36.76, 2.445, 41
31.70, 2.823, 39
51.16, 1.785, 39
12.80, 6.915, 34
28.87, 3.092, 33
39.08, 2.305, 25
52.97, 1.729, 23
34.31, 2.613, 18
70.81, 1.331, 16

Structure:
```
Na3BiO3
1.0
-4.889 4.889 4.889
4.889 -4.889 4.889
4.889 4.889 -4.889
Na Bi O
12 4 12
Direct
0.000 0.278 0.525
0.000 0.525 0.278
0.246 0.722 0.722
0.278 0.000 0.525
0.278 0.525 0.000
0.475 0.475 0.754
0.475 0.754 0.475
0.525 0.000 0.278
0.525 0.278 0.000
0.722 0.246 0.722
0.722 0.722 0.246
0.754 0.475 0.475
0.000 0.000 0.715
0.000 0.715 0.000
0.285 0.285 0.285
0.715 0.000 0.000
0.000 0.516 0.772
0.000 0.772 0.516
0.228 0.228 0.744
0.228 0.744 0.228
0.256 0.484 0.484
0.484 0.256 0.484
0.484 0.484 0.256
0.516 0.000 0.772
0.516 0.772 0.000
0.744 0.228 0.228
0.772 0.000 0.516
0.772 0.516 0.000
```

[4]
Calculated powder diffraction line list of Mn3Pd5 for Cu Kα (weighted mean of Kα1 and Kα2), from a cell relaxed with GGA-PBE.
Intensities are scaled so that the largest is 100.

Principal peaks in the range 2θ from 10° to 90°, most intense first:
2theta, d_spacing, intensity
39.73, 2.269, 100
44.31, 2.044, 19
43.95, 2.060, 18
77.94, 1.226, 13
78.45, 1.219, 13
50.16, 1.819, 12
64.18, 1.451, 11
85.64, 1.134, 10
68.87, 1.363, 9
69.13, 1.359, 9

Structure:
```
Mn3Pd5
1.0
7.275 0.000 0.000
0.000 8.240 0.000
0.000 0.000 4.089
Mn Pd
6 10
Direct
0.000 0.000 0.000
0.000 0.274 0.500
0.000 0.726 0.500
0.500 0.226 0.500
0.500 0.500 0.000
0.500 0.774 0.500
0.000 0.500 0.000
0.225 0.000 0.500
0.250 0.250 0.000
0.250 0.750 0.000
0.275 0.500 0.500
0.500 0.000 0.000
0.725 0.500 0.500
0.750 0.250 0.000
0.750 0.750 0.000
0.775 0.000 0.500
```

[5]
Calculated powder diffraction line list of TlBr2 for Cu Kα (weighted mean of Kα1 and Kα2), from a cell relaxed with GGA-PBE.
Intensities are scaled so that the largest is 100.

Principal peaks in the range 2θ from 10° to 90°, most intense first:
2theta, d_spacing, intensity
21.36, 4.160, 100
28.56, 3.125, 41
16.25, 5.453, 36
34.06, 2.632, 36
21.26, 4.180, 35
31.64, 2.828, 29
37.18, 2.418, 26
35.03, 2.562, 25
28.32, 3.151, 21
33.21, 2.698, 20

Structure:
```
TlBr2
1.0
8.157 0.000 0.000
0.000 10.791 0.000
0.000 0.000 10.906
Tl Br
8 16
Direct
0.179 0.250 0.250
0.250 0.000 0.676
0.250 0.500 0.824
0.321 0.750 0.250
0.679 0.250 0.750
0.750 0.000 0.324
0.750 0.500 0.176
0.821 0.750 0.750
0.006 0.544 0.318
0.006 0.956 0.182
0.144 0.688 0.954
0.144 0.812 0.546
0.356 0.188 0.546
0.356 0.312 0.954
0.494 0.044 0.182
0.494 0.456 0.318
0.506 0.544 0.682
0.506 0.956 0.818
0.644 0.688 0.046
0.644 0.812 0.454
0.856 0.188 0.454
0.856 0.312 0.046
0.994 0.044 0.818
0.994 0.456 0.682
```

[6]
Calculated powder diffraction line list of CaAl8Ni2 for Cu Kα (weighted mean of Kα1 and Kα2), from a cell relaxed with GGA-PBE.
Intensities are scaled so that the largest is 100.

Principal peaks in the range 2θ from 10° to 90°, most intense first:
2theta, d_spacing, intensity
36.32, 2.473, 100
44.39, 2.041, 75
44.26, 2.046, 69
46.07, 1.970, 66
34.41, 2.606, 64
21.89, 4.060, 50
43.58, 2.077, 39
46.25, 1.963, 38
44.07, 2.055, 35
15.25, 5.810, 32

Structure:
```
CaAl8Ni2
1.0
12.690 0.000 0.000
0.000 14.448 0.000
0.000 0.000 3.941
Ca Al Ni
4 32 8
Direct
0.153 0.178 0.000
0.347 0.678 0.000
0.653 0.322 0.000
0.847 0.822 0.000
0.000 0.000 0.000
0.000 0.500 0.500
0.029 0.866 0.500
0.048 0.321 0.500
0.105 0.745 0.000
0.158 0.453 0.000
0.165 0.617 0.500
0.168 0.008 0.500
0.240 0.823 0.500
0.260 0.323 0.500
0.332 0.508 0.500
0.335 0.117 0.500
0.342 0.953 0.000
0.395 0.245 0.000
0.452 0.821 0.500
0.471 0.366 0.500
0.500 0.000 0.500
0.500 0.500 0.000
0.529 0.634 0.500
0.548 0.179 0.500
0.605 0.755 0.000
0.658 0.047 0.000
0.665 0.883 0.500
0.668 0.492 0.500
0.740 0.677 0.500
0.760 0.177 0.500
0.832 0.992 0.500
0.835 0.383 0.500
0.842 0.547 0.000
0.895 0.255 0.000
0.952 0.679 0.500
0.971 0.134 0.500
0.037 0.594 0.000
0.155 0.903 0.000
0.345 0.403 0.000
0.463 0.094 0.000
0.537 0.906 0.000
0.655 0.597 0.000
0.845 0.097 0.000
0.963 0.406 0.000
```